1.
Pr7Nd2Y2: simulated powder diffractogram (Cu Ka), based on DFT lattice parameters and positions (GGA-PBE).

Most intense lines, 15° ≤ 2θ ≤ 90°, sorted by position:
index  2theta  I/Imax
3 1 -4  27.7  235
4 0 2  30.0  255
2 2 1  31.6  1000
1 1 6  41.3  160
6 0 -8  49.0  195
6 2 3  54.3  214
10 0 -6  58.5  114
1 3 6  58.5  114
4 2 -9  59.5  108
5 5 -3  80.5  112

Crystal structure
```
data_Pr7Nd2Y2
_cell_length_a 16.3441
_cell_length_b 6.4420
_cell_length_c 16.0244
_cell_angle_alpha 90.00
_cell_angle_beta 111.38
_cell_angle_gamma 90.00
_space_group_name_H-M_alt 'C 1 2/c 1'
_space_group_IT_number 15
loop_
_space_group_symop_operation_xyz
'x,y,z'
'-x,-y,-z'
'-x,y,-z+1/2'
'x,-y,z+1/2'
'x+1/2,y+1/2,z'
'-x+1/2,-y+1/2,-z'
'-x+1/2,y+1/2,-z+1/2'
'x+1/2,-y+1/2,z+1/2'
loop_
_atom_site_label
_atom_site_fract_x
_atom_site_fract_y
_atom_site_fract_z
_atom_site_occupancy
Pr1 0.0000 0.1692 0.2500 1
Pr2 0.0472 0.3335 0.6594 1
Pr3 0.0928 0.1664 0.0696 1
Pr4 0.1822 0.1648 0.8857 1
Nd1 0.1382 0.3337 0.4782 1
Y1 0.2276 0.3341 0.2952 1
```

=====

2.
Ag2Au2Br7: simulated powder diffractogram (Cu Ka), based on DFT lattice parameters and positions (GGA-PBE).

Most intense lines, 15° ≤ 2θ ≤ 90°, sorted by position:
index  2theta  I/Imax
1 1 1  15.2  374
1 1 -2  15.4  456
2 0 0  18.0  564
2 0 -2  18.2  461
1 1 2  19.6  1000
1 1 -3  19.8  371
2 0 2  25.1  773
1 3 1  29.0  373
3 1 -4  31.6  682
2 0 4  35.6  465

Crystal structure
```
data_Ag2Au2Br7
_cell_length_a 10.4329
_cell_length_b 10.2701
_cell_length_c 15.1266
_cell_angle_alpha 90.00
_cell_angle_beta 109.29
_cell_angle_gamma 90.00
_space_group_name_H-M_alt 'C 1 2/c 1'
_space_group_IT_number 15
loop_
_space_group_symop_operation_xyz
'x,y,z'
'-x,-y,-z'
'-x,y,-z+1/2'
'x,-y,z+1/2'
'x+1/2,y+1/2,z'
'-x+1/2,-y+1/2,-z'
'-x+1/2,y+1/2,-z+1/2'
'x+1/2,-y+1/2,z+1/2'
loop_
_atom_site_label
_atom_site_fract_x
_atom_site_fract_y
_atom_site_fract_z
_atom_site_occupancy
Ag1 0.0411 0.1734 0.4773 1
Au1 0.0678 0.4457 0.6891 1
Br1 0.0000 0.2400 0.7500 1
Br2 0.1063 0.3211 0.1662 1
Br3 0.1360 0.0026 0.6162 1
Br4 0.1852 0.3749 0.5713 1
```

=====

3.
CeSmGaAg: simulated powder diffractogram (Cu Ka), based on DFT lattice parameters and positions (GGA-PBE).

Most intense lines, 15° ≤ 2θ ≤ 90°, sorted by position:
index  2theta  I/Imax
1 1 1  20.8  17
2 0 0  24.1  57
2 2 0  34.3  1000
2 2 2  42.3  18
4 0 0  49.3  177
4 2 0  55.6  26
4 2 2  61.4  361
4 4 0  72.3  111
6 0 0  77.4  13
6 2 0  82.5  156

Crystal structure
```
data_CeSmGaAg
_cell_length_a 7.3950
_cell_length_b 7.3950
_cell_length_c 7.3950
_cell_angle_alpha 90.00
_cell_angle_beta 90.00
_cell_angle_gamma 90.00
_space_group_name_H-M_alt 'F -4 3 m'
_space_group_IT_number 216
_space_group_name_Hall 'F -4 2 3'
loop_
_atom_site_label
_atom_site_fract_x
_atom_site_fract_y
_atom_site_fract_z
_atom_site_occupancy
Ce1 0.0000 0.0000 0.0000 1
Sm1 0.0000 0.0000 0.5000 1
Ga1 0.2500 0.2500 0.7500 1
Ag1 0.2500 0.2500 0.2500 1
```

=====

4.
K2NaBeF6: simulated powder diffractogram (Cu Ka), based on DFT lattice parameters and positions (GGA-PBE).

Most intense lines, 15° ≤ 2θ ≤ 90°, sorted by position:
index  2theta  I/Imax
2 2 0  31.2  676
3 1 1  36.8  87
2 2 2  38.5  1000
4 0 0  44.7  857
3 3 1  49.0  161
4 2 2  55.5  175
4 4 0  65.1  403
6 2 0  73.9  144
6 2 2  78.2  174
4 4 4  82.4  108

Crystal structure
```
data_K2NaBeF6
_cell_length_a 8.1084
_cell_length_b 8.1084
_cell_length_c 8.1084
_cell_angle_alpha 90.00
_cell_angle_beta 90.00
_cell_angle_gamma 90.00
_space_group_name_H-M_alt 'F m -3 m'
_space_group_IT_number 225
_space_group_name_Hall '-F 4 2 3'
loop_
_atom_site_label
_atom_site_fract_x
_atom_site_fract_y
_atom_site_fract_z
_atom_site_occupancy
K1 0.2500 0.2500 0.2500 1
Na1 0.0000 0.0000 0.0000 1
Be1 0.0000 0.0000 0.5000 1
F1 0.0000 0.0000 0.2817 1
```